This entry pairs a crystal structure of LiV2P3O12 with its simulated powder XRD pattern. Radiation: Cu Kα (λ = 1.5418 Å). Structure: a structure optimized by DFT (PBE+U).

Structure:
```
data_LiV2P3O12
_cell_length_a 8.4301
_cell_length_b 8.4691
_cell_length_c 8.7373
_cell_angle_alpha 90.57
_cell_angle_beta 118.45
_cell_angle_gamma 119.71
_symmetry_space_group_name_H-M 'P -1'
_symmetry_Int_Tables_number 2
_symmetry_space_group_name_Hall '-P 1'
loop_
_atom_site_label
_atom_site_type_symbol
_atom_site_fract_x
_atom_site_fract_y
_atom_site_fract_z
Li1 Li 0.1459 0.1818 0.4167
V1 V 0.2886 0.6448 0.4297
V2 V 0.2945 0.1434 0.9290
P1 P 0.2178 0.7460 0.7543
P2 P 0.2205 0.9738 0.2529
P3 P 0.4968 0.4624 0.7476
O1 O 0.0024 0.9196 0.2259
O2 O 0.0225 0.5464 0.7129
O3 O 0.1604 0.8941 0.7521
O4 O 0.2202 0.0008 0.0791
O5 O 0.2608 0.8178 0.2998
O6 O 0.2703 0.7494 0.6067
O7 O 0.3253 0.5319 0.2678
O8 O 0.3289 0.4653 0.5658
O9 O 0.3521 0.2647 0.7599
O10 O 0.3893 0.3727 0.0833
O11 O 0.3896 0.1673 0.4149
O12 O 0.4203 0.8024 0.9443
```

Peak list (10 most intense, 5 to 70 degrees two-theta, most intense first)
| d [Å] | intensity |
| --- | --- |
| 3.665 | 100.0 |
| 3.640 | 59.9 |
| 6.101 | 57.7 |
| 3.051 | 50.0 |
| 4.381 | 44.0 |
| 4.363 | 31.8 |
| 2.765 | 25.4 |
| 4.237 | 22.0 |
| 2.747 | 21.2 |
| 3.023 | 19.5 |